No. 1
Diffraction record for PmTcO6. The X-ray powder pattern is theoretical, not measured: it uses DFT lattice parameters and positions (GGA-PBE) and copper Kα.
Lines closer than 0.1° are merged.

Cell and atoms:
Cell: 8.433 8.433 8.433 Å, 90.00 90.00 90.00°
Space group Fm-3m (No. 225)
Unique sites:
Pm 0.000 0.000 0.000 [4 per cell]
Tc 0.000 0.000 0.500 [4 per cell]
O 0.000 0.000 0.278 [24 per cell]

Main lines, low angle first (2θ from 10° to 80°):
| Position (°2θ) | I_rel |
| --- | --- |
| 21.07 | 100 |
| 29.97 | 47 |
| 35.30 | 3 |
| 36.93 | 9 |
| 42.90 | 21 |
| 48.27 | 39 |
| 53.21 | 19 |
| 62.28 | 12 |
| 66.53 | 18 |
| 70.65 | 9 |
| 74.66 | 5 |
| 78.60 | 4 |



No. 2
Diffraction record for Pm6TcO12. The X-ray powder pattern is theoretical, not measured: it uses DFT lattice parameters and positions (GGA-PBE) and copper Kα.
Lines closer than 0.1° are merged.

Cell and atoms:
Cell: 10.0964 10.0964 9.6994 Å, 90.00 90.00 120.00°
Space group R-3 (No. 148, hexagonal axes)
Unique sites:
Pm 0.0455 0.2567 0.1447 [18 per cell]
Tc 0.0000 0.0000 0.5000 [3 per cell]
O 0.0361 0.2254 0.9028 [18 per cell]
O 0.0393 0.1809 0.3912 [18 per cell]

Main lines, low angle first (2θ from 10° to 80°):
| Position (°2θ) | I_rel |
| --- | --- |
| 27.59 | 31 |
| 28.53 | 100 |
| 32.79 | 44 |
| 32.90 | 7 |
| 46.45 | 27 |
| 47.66 | 27 |
| 54.88 | 12 |
| 55.96 | 24 |
| 56.49 | 12 |
| 59.06 | 10 |
| 68.74 | 6 |
| 76.97 | 9 |



No. 3
Diffraction record for Pm2Tc2O7. The X-ray powder pattern is theoretical, not measured: it uses DFT lattice parameters and positions (GGA-PBE) and copper Kα.
Lines closer than 0.1° are merged.

Cell and atoms:
Cell: 10.489 10.489 10.489 Å, 90.00 90.00 90.00°
Space group Fd-3m (No. 227, origin choice 2)
Unique sites:
Pm 0.000 0.000 0.000 [16 per cell]
Tc 0.000 0.000 0.500 [16 per cell]
O 0.084 0.375 0.875 [48 per cell]
O 0.125 0.125 0.125 [8 per cell]

Main lines, low angle first (2θ from 10° to 80°):
| Position (°2θ) | I_rel |
| --- | --- |
| 14.63 | 3 |
| 28.22 | 1 |
| 29.50 | 100 |
| 34.19 | 32 |
| 37.37 | 5 |
| 44.90 | 2 |
| 49.13 | 48 |
| 51.55 | 1 |
| 58.36 | 43 |
| 61.22 | 10 |
| 72.03 | 7 |
| 79.69 | 17 |



Please write out number 3 again, unchanged.
Diffraction record for Pm2Tc2O7. The X-ray powder pattern is theoretical, not measured: it uses DFT lattice parameters and positions (GGA-PBE) and copper Kα.
Lines closer than 0.1° are merged.

Cell and atoms:
Cell: 10.489 10.489 10.489 Å, 90.00 90.00 90.00°
Space group Fd-3m (No. 227, origin choice 2)
Unique sites:
Pm 0.000 0.000 0.000 [16 per cell]
Tc 0.000 0.000 0.500 [16 per cell]
O 0.084 0.375 0.875 [48 per cell]
O 0.125 0.125 0.125 [8 per cell]

Main lines, low angle first (2θ from 10° to 80°):
| Position (°2θ) | I_rel |
| --- | --- |
| 14.63 | 3 |
| 28.22 | 1 |
| 29.50 | 100 |
| 34.19 | 32 |
| 37.37 | 5 |
| 44.90 | 2 |
| 49.13 | 48 |
| 51.55 | 1 |
| 58.36 | 43 |
| 61.22 | 10 |
| 72.03 | 7 |
| 79.69 | 17 |